Entry 1:
Starting from the PBE geometry in Alexandria, the XRD peak list of CdGeBiH was simulated for Cu Kα (weighted mean of Kα1 and Kα2).
Peak positions follow from Bragg's law for the DFT cell and can differ from measured ones.

Main lines, sorted by position (5° ≤ 2θ ≤ 70°):
| two_theta | I (rel.) | h k l |
| --- | --- | --- |
| 20.87 | 39 | 1 0 1 |
| 25.99 | 53 | 0 0 3 |
| 33.19 | 100 | 1 1 0 |
| 40.02 | 19 | 1 0 4 |
| 42.63 | 87 | 1 1 3 |
| 65.83 | 24 | 3 0 3 |

Crystal structure
```
data_CdGeBiH
_chemical_formula_sum 'Cd3 Ge3 Bi3 H3'
_symmetry_space_group_name_H-M 'R 3 m'
_symmetry_Int_Tables_number 160
_symmetry_space_group_name_Hall 'R 3 -2"'
_cell_length_a 5.3982
_cell_length_b 5.3982
_cell_length_c 10.2840
_cell_angle_alpha 90.00
_cell_angle_beta 90.00
_cell_angle_gamma 120.00
loop_
_atom_site_label
_atom_site_type_symbol
_atom_site_fract_x
_atom_site_fract_y
_atom_site_fract_z
Cd1 Cd 0.0000 0.0000 0.0000
Ge1 Ge 0.0000 0.0000 0.3667
Bi1 Bi 0.0000 0.0000 0.7114
H1 H 0.0000 0.0000 0.2046
```

=====

Entry 2:
Starting from the PBE geometry in Alexandria, the XRD peak list of CdGeBiH was simulated for Cu Kα (weighted mean of Kα1 and Kα2).
Peak positions follow from Bragg's law for the DFT cell and can differ from measured ones.

Main lines, sorted by position (5° ≤ 2θ ≤ 70°):
| two_theta | I (rel.) | h k l |
| --- | --- | --- |
| 20.82 | 83 | 0 1 -1 |
| 23.73 | 100 | 1 -1 0 |
| 31.90 | 40 | 0 1 -2 |
| 32.48 | 63 | 1 0 1 |
| 32.58 | 62 | -1 1 1 |
| 38.40 | 65 | 1 0 -2 |

Crystal structure
```
data_CdGeBiH
_chemical_formula_sum 'Cd1 Ge1 Bi1 H1'
_symmetry_space_group_name_H-M 'P 1'
_symmetry_Int_Tables_number 1
_symmetry_space_group_name_Hall 'P 1'
_cell_length_a 4.225
_cell_length_b 5.031
_cell_length_c 5.709
_cell_angle_alpha 114.54
_cell_angle_beta 90.02
_cell_angle_gamma 114.59
loop_
_atom_site_label
_atom_site_type_symbol
_atom_site_fract_x
_atom_site_fract_y
_atom_site_fract_z
Cd1 Cd 0.000 0.000 0.000
Ge1 Ge 0.505 0.008 0.341
Bi1 Bi 0.186 0.372 0.698
H1 H 0.350 0.692 0.391
```

=====

Entry 3:
Starting from the PBE geometry in Alexandria, the XRD peak list of CdGeBiH was simulated for Cu Kα (weighted mean of Kα1 and Kα2).
Peak positions follow from Bragg's law for the DFT cell and can differ from measured ones.

Main lines, sorted by position (5° ≤ 2θ ≤ 70°):
| two_theta | I (rel.) | h k l |
| --- | --- | --- |
| 20.04 | 27 | 2 0 0 |
| 22.60 | 24 | 1 1 0 |
| 27.93 | 34 | 2 0 1 |
| 28.22 | 100 | 1 1 -1 |
| 42.13 | 27 | 3 1 1 |
| 43.36 | 28 | 1 1 2 |

Crystal structure
```
data_CdGeBiH
_chemical_formula_sum 'Cd2 Ge2 Bi2 H2'
_symmetry_space_group_name_H-M 'C 1 m 1'
_symmetry_Int_Tables_number 8
_symmetry_space_group_name_Hall 'C -2y'
_cell_length_a 8.897
_cell_length_b 4.391
_cell_length_c 5.063
_cell_angle_alpha 90.00
_cell_angle_beta 94.99
_cell_angle_gamma 90.00
loop_
_atom_site_label
_atom_site_type_symbol
_atom_site_fract_x
_atom_site_fract_y
_atom_site_fract_z
Cd1 Cd 0.000 0.000 0.000
Ge1 Ge 0.225 0.000 0.378
Bi1 Bi 0.206 0.500 0.718
H1 H 0.392 0.000 0.286
```

=====

Entry 4:
Starting from the PBE geometry in Alexandria, the XRD peak list of CdGeBiH was simulated for Cu Kα (weighted mean of Kα1 and Kα2).
Peak positions follow from Bragg's law for the DFT cell and can differ from measured ones.

Main lines, sorted by position (5° ≤ 2θ ≤ 70°):
| two_theta | I (rel.) | h k l |
| --- | --- | --- |
| 20.52 | 63 | 0 1 0 |
| 28.39 | 39 | 1 1 0 |
| 29.16 | 64 | 1 0 1 |
| 33.22 | 100 | 1 1 -1 |
| 35.92 | 41 | 1 1 1 |
| 44.68 | 39 | 0 1 2 |

Crystal structure
```
data_CdGeBiH
_chemical_formula_sum 'Cd1 Ge1 Bi1 H1'
_symmetry_space_group_name_H-M 'P 1 m 1'
_symmetry_Int_Tables_number 6
_symmetry_space_group_name_Hall 'P -2y'
_cell_length_a 4.599
_cell_length_b 4.328
_cell_length_c 4.624
_cell_angle_alpha 90.00
_cell_angle_beta 96.77
_cell_angle_gamma 90.00
loop_
_atom_site_label
_atom_site_type_symbol
_atom_site_fract_x
_atom_site_fract_y
_atom_site_fract_z
Cd1 Cd 0.000 0.000 0.000
Ge1 Ge 0.795 0.500 0.341
Bi1 Bi 0.464 0.000 0.538
H1 H 0.046 0.500 0.613
```

=====

Entry 5:
Starting from the PBE geometry in Alexandria, the XRD peak list of CdBi4H2 was simulated for Cu Kα (weighted mean of Kα1 and Kα2).
Peak positions follow from Bragg's law for the DFT cell and can differ from measured ones.

Main lines, sorted by position (5° ≤ 2θ ≤ 70°):
| two_theta | I (rel.) | h k l |
| --- | --- | --- |
| 21.36 | 35 | 0 0 2 |
| 26.34 | 29 | 1 1 0 |
| 28.09 | 52 | 1 0 2 |
| 28.35 | 100 | 1 1 -1 |
| 28.61 | 28 | 1 1 1 |
| 37.94 | 43 | 0 1 3 |

Crystal structure
```
data_CdBi4H2
_chemical_formula_sum 'Cd1 Bi4 H2'
_symmetry_space_group_name_H-M 'P 1 2/m 1'
_symmetry_Int_Tables_number 10
_symmetry_space_group_name_Hall '-P 2y'
_cell_length_a 5.028
_cell_length_b 4.573
_cell_length_c 8.322
_cell_angle_alpha 90.00
_cell_angle_beta 91.06
_cell_angle_gamma 90.00
loop_
_atom_site_label
_atom_site_type_symbol
_atom_site_fract_x
_atom_site_fract_y
_atom_site_fract_z
Cd1 Cd 0.000 0.000 0.000
Bi1 Bi 0.254 0.000 0.323
Bi2 Bi 0.382 0.500 0.789
H1 H 0.193 0.500 0.596
```

=====

Entry 6:
Starting from the PBE geometry in Alexandria, the XRD peak list of HfCdBi was simulated for Cu Kα (weighted mean of Kα1 and Kα2).
Peak positions follow from Bragg's law for the DFT cell and can differ from measured ones.

Main lines, sorted by position (5° ≤ 2θ ≤ 70°):
| two_theta | I (rel.) | h k l |
| --- | --- | --- |
| 28.29 | 35 | 0 4 0 |
| 33.97 | 45 | 1 3 2 |
| 35.09 | 83 | 2 2 1 |
| 35.62 | 100 | 0 2 3 |
| 37.28 | 51 | 2 0 2 |
| 40.33 | 69 | 1 5 1 |

Crystal structure
```
data_HfCdBi
_chemical_formula_sum 'Hf8 Cd8 Bi8'
_symmetry_space_group_name_H-M 'C m c e'
_symmetry_Int_Tables_number 64
_symmetry_space_group_name_Hall '-C 2ac 2'
_cell_length_a 5.947
_cell_length_b 12.620
_cell_length_c 8.248
_cell_angle_alpha 90.00
_cell_angle_beta 90.00
_cell_angle_gamma 90.00
loop_
_atom_site_label
_atom_site_type_symbol
_atom_site_fract_x
_atom_site_fract_y
_atom_site_fract_z
Hf1 Hf 0.000 0.105 0.099
Cd1 Cd 0.250 0.083 0.750
Bi1 Bi 0.000 0.178 0.435
```

=====

Entry 7:
Starting from the PBE geometry in Alexandria, the XRD peak list of Cd3HgBi was simulated for Cu Kα (weighted mean of Kα1 and Kα2).
Peak positions follow from Bragg's law for the DFT cell and can differ from measured ones.

Main lines, sorted by position (5° ≤ 2θ ≤ 70°):
| two_theta | I (rel.) | h k l |
| --- | --- | --- |
| 27.49 | 51 | 2 0 2 |
| 30.27 | 58 | 0 4 0 |
| 33.16 | 81 | 3 1 2 |
| 34.02 | 100 | 3 3 1 |
| 35.56 | 83 | 4 2 1 |
| 38.15 | 87 | 0 2 3 |

Crystal structure
```
data_Cd3HgBi
_chemical_formula_sum 'Cd24 Hg8 Bi8'
_symmetry_space_group_name_H-M 'C m c e'
_symmetry_Int_Tables_number 64
_symmetry_space_group_name_Hall '-C 2ac 2'
_cell_length_a 11.981
_cell_length_b 11.812
_cell_length_c 7.719
_cell_angle_alpha 90.00
_cell_angle_beta 90.00
_cell_angle_gamma 90.00
loop_
_atom_site_label
_atom_site_type_symbol
_atom_site_fract_x
_atom_site_fract_y
_atom_site_fract_z
Cd1 Cd 0.000 0.055 0.201
Cd2 Cd 0.154 0.146 0.874
Hg1 Hg 0.000 0.172 0.552
Bi1 Bi 0.250 0.116 0.250
```

=====

Entry 8:
Starting from the PBE geometry in Alexandria, the XRD peak list of CdHg14Bi was simulated for Cu Kα (weighted mean of Kα1 and Kα2).
Peak positions follow from Bragg's law for the DFT cell and can differ from measured ones.

Main lines, sorted by position (5° ≤ 2θ ≤ 70°):
| two_theta | I (rel.) | h k l |
| --- | --- | --- |
| 30.19 | 41 | 2 0 0 |
| 30.56 | 100 | 0 2 2 |
| 32.25 | 62 | 1 -2 2 |
| 33.25 | 22 | 1 1 -3 |
| 34.73 | 25 | 1 3 -1 |
| 43.73 | 21 | 1 -4 0 |

Crystal structure
```
data_CdHg14Bi
_chemical_formula_sum 'Cd1 Hg14 Bi1'
_symmetry_space_group_name_H-M 'P 1'
_symmetry_Int_Tables_number 1
_symmetry_space_group_name_Hall 'P 1'
_cell_length_a 5.979
_cell_length_b 8.785
_cell_length_c 8.832
_cell_angle_alpha 96.10
_cell_angle_beta 97.36
_cell_angle_gamma 91.08
loop_
_atom_site_label
_atom_site_type_symbol
_atom_site_fract_x
_atom_site_fract_y
_atom_site_fract_z
Cd1 Cd 0.000 0.000 0.000
Hg1 Hg 0.035 0.322 0.191
Hg2 Hg 0.040 0.628 0.983
Hg3 Hg 0.074 0.813 0.684
Hg4 Hg 0.086 0.029 0.385
Hg5 Hg 0.131 0.663 0.350
Hg6 Hg 0.192 0.404 0.584
Hg7 Hg 0.343 0.160 0.794
Hg8 Hg 0.506 0.444 0.044
Hg9 Hg 0.554 0.693 0.794
Hg10 Hg 0.566 0.217 0.314
Hg11 Hg 0.618 0.720 0.297
Hg12 Hg 0.622 0.977 0.569
Hg13 Hg 0.688 0.492 0.532
Hg14 Hg 0.843 0.278 0.806
Bi1 Bi 0.516 0.945 0.062
```